Entry 1:
Structure and simulated PXRD pattern of PrSm2UN4 (the PBE geometry in Alexandria; Cu Kα (weighted mean of Kα1 and Kα2)).

Largest 6 diffraction maxima, low angle first, 10° ≤ 2θ ≤ 90°:
| two_theta | d_spacing | Rel. int. |
| --- | --- | --- |
| 30.70 | 2.912 | 1000 |
| 35.60 | 2.522 | 698 |
| 51.23 | 1.783 | 485 |
| 60.92 | 1.521 | 463 |
| 63.94 | 1.456 | 164 |
| 83.55 | 1.157 | 201 |

Cell and atoms:
```
PrSm2UN4
1.0
-2.521 2.521 5.049
2.521 -2.521 5.049
2.521 2.521 -5.049
Pr Sm U N
1 2 1 4
direct
0.000 0.000 0.000
0.500 0.500 0.000
0.750 0.250 0.500
0.250 0.750 0.500
0.032 0.532 0.500
0.253 0.253 0.000
0.468 0.968 0.500
0.747 0.747 0.000
```

Entry 2:
Structure and simulated PXRD pattern of Tl4RhI6 (the PBE geometry in Alexandria; Cu Kα (weighted mean of Kα1 and Kα2)).

Largest 6 diffraction maxima, low angle first, 10° ≤ 2θ ≤ 90°:
| two_theta | d_spacing | Rel. int. |
| --- | --- | --- |
| 13.16 | 6.730 | 123 |
| 28.25 | 3.159 | 1000 |
| 30.80 | 2.903 | 415 |
| 36.31 | 2.474 | 194 |
| 48.34 | 1.883 | 219 |
| 60.50 | 1.530 | 150 |

Cell and atoms:
```
Tl4RhI6
1.0
9.180 0.000 0.000
0.000 9.180 0.000
0.000 0.000 9.895
Tl Rh I
8 2 12
direct
0.147 0.353 0.250
0.147 0.353 0.750
0.353 0.853 0.250
0.353 0.853 0.750
0.647 0.147 0.250
0.647 0.147 0.750
0.853 0.647 0.250
0.853 0.647 0.750
0.000 0.000 0.000
0.500 0.500 0.500
0.000 0.000 0.272
0.000 0.000 0.728
0.133 0.716 0.000
0.216 0.633 0.500
0.284 0.133 0.000
0.367 0.216 0.500
0.500 0.500 0.228
0.500 0.500 0.772
0.633 0.784 0.500
0.716 0.867 0.000
0.784 0.367 0.500
0.867 0.284 0.000
```

Entry 3:
Structure and simulated PXRD pattern of Pm5Bi2Te4 (the PBE geometry in Alexandria; Cu Kα (weighted mean of Kα1 and Kα2)).

Largest 6 diffraction maxima, low angle first, 10° ≤ 2θ ≤ 90°:
| two_theta | d_spacing | Rel. int. |
| --- | --- | --- |
| 26.20 | 3.402 | 988 |
| 28.43 | 3.139 | 617 |
| 31.00 | 2.885 | 310 |
| 38.88 | 2.316 | 1000 |
| 39.02 | 2.309 | 882 |
| 70.46 | 1.336 | 463 |

Cell and atoms:
```
Pm5Bi2Te4
1.0
2.316 1.337 23.527
-2.316 1.337 23.527
0.000 -2.675 23.527
Pm Bi Te
5 2 4
direct
0.000 0.000 0.000
0.119 0.119 0.119
0.282 0.282 0.282
0.718 0.718 0.718
0.881 0.881 0.881
0.359 0.359 0.359
0.641 0.641 0.641
0.077 0.077 0.077
0.194 0.194 0.194
0.806 0.806 0.806
0.923 0.923 0.923
```